[1]
For Rb2MgF4, a cell relaxed with PBE gives the theoretical XRD peak list in this record (Cu Kα, 1.54184 Å).
Peak positions follow from Bragg's law for the DFT cell and can differ from measured ones.

Structure:
```
data_Rb2MgF4
_symmetry_space_group_name_H-M 'P 1'
_symmetry_Int_Tables_number 1
_symmetry_space_group_name_Hall 'P 1'
_cell_length_a 7.5934
_cell_length_b 7.5934
_cell_length_c 7.5934
_cell_angle_alpha 148.44
_cell_angle_beta 148.44
_cell_angle_gamma 45.23
loop_
_atom_site_label
_atom_site_type_symbol
_atom_site_fract_x
_atom_site_fract_y
_atom_site_fract_z
Rb1 Rb 0.1483 0.1483 0.0000
Rb2 Rb 0.8517 0.8517 0.0000
Mg1 Mg 0.5000 0.5000 0.0000
F1 F 0.0000 0.5000 0.5000
F2 F 0.3554 0.3554 0.0000
F3 F 0.5000 0.0000 0.5000
F4 F 0.6446 0.6446 0.0000
```

Main lines, most intense first (2θ = 10–90°):
2theta, Rel. int.
28.85, 100.0
30.62, 73.9
40.20, 63.7
43.85, 50.8
53.34, 36.7
38.53, 24.8

[2]
For Sm4GaSbS9, a cell relaxed with PBE gives the theoretical XRD peak list in this record (Cu Kα, 1.54184 Å).
Peak positions follow from Bragg's law for the DFT cell and can differ from measured ones.

Structure:
```
data_Sm4GaSbS9
_symmetry_space_group_name_H-M 'P 1'
_symmetry_Int_Tables_number 1
_symmetry_space_group_name_Hall 'P 1'
_cell_length_a 13.7245
_cell_length_b 10.0491
_cell_length_c 10.0491
_cell_angle_alpha 89.14
_cell_angle_beta 90.00
_cell_angle_gamma 90.00
loop_
_atom_site_label
_atom_site_type_symbol
_atom_site_fract_x
_atom_site_fract_y
_atom_site_fract_z
Sm1 Sm 0.1011 0.1718 0.8282
Sm2 Sm 0.1038 0.6675 0.4438
Sm3 Sm 0.1810 0.4498 0.1184
Sm4 Sm 0.1855 0.9026 0.1206
Sm5 Sm 0.3145 0.4026 0.6206
Sm6 Sm 0.3190 0.9498 0.6184
Sm7 Sm 0.3962 0.1675 0.9438
Sm8 Sm 0.3989 0.6718 0.3282
Sm9 Sm 0.6011 0.3282 0.6718
Sm10 Sm 0.6038 0.9438 0.1675
Sm11 Sm 0.6810 0.6184 0.9498
Sm12 Sm 0.6855 0.6206 0.4026
Sm13 Sm 0.8145 0.1206 0.9026
Sm14 Sm 0.8190 0.1184 0.4498
Sm15 Sm 0.8962 0.4438 0.6675
Sm16 Sm 0.8989 0.8282 0.1718
Ga1 Ga 0.0923 0.1686 0.3781
Ga2 Ga 0.4077 0.6686 0.8781
Ga3 Ga 0.5923 0.8781 0.6686
Ga4 Ga 0.9077 0.3781 0.1686
Sb1 Sb 0.1130 0.6623 0.8204
Sb2 Sb 0.3870 0.1623 0.3204
Sb3 Sb 0.6130 0.3204 0.1623
Sb4 Sb 0.8870 0.8204 0.6623
S1 S 0.0000 0.3634 0.3634
S2 S 0.0000 0.9943 0.9943
S3 S 0.0062 0.3743 0.9839
S4 S 0.0682 0.6791 0.1737
S5 S 0.0808 0.8469 0.6603
S6 S 0.0998 0.4798 0.6580
S7 S 0.1905 0.1718 0.5660
S8 S 0.1990 0.1750 0.1997
S9 S 0.2467 0.8517 0.3830
S10 S 0.2503 0.4895 0.3746
S11 S 0.2497 0.9895 0.8746
S12 S 0.2533 0.3517 0.8830
S13 S 0.3010 0.6750 0.6997
S14 S 0.3095 0.6718 0.0660
S15 S 0.4002 0.9798 0.1580
S16 S 0.4192 0.3469 0.1603
S17 S 0.4318 0.1791 0.6737
S18 S 0.4938 0.8743 0.4839
S19 S 0.5000 0.4943 0.4943
S20 S 0.5000 0.8634 0.8634
S21 S 0.5062 0.4839 0.8743
S22 S 0.5682 0.6737 0.1791
S23 S 0.5808 0.1603 0.3469
S24 S 0.5998 0.1580 0.9798
S25 S 0.6905 0.0660 0.6718
S26 S 0.6990 0.6997 0.6750
S27 S 0.7467 0.8830 0.3517
S28 S 0.7497 0.3746 0.4895
S29 S 0.7503 0.8746 0.9895
S30 S 0.7533 0.3830 0.8517
S31 S 0.8010 0.1997 0.1750
S32 S 0.8095 0.5660 0.1718
S33 S 0.9002 0.6580 0.4798
S34 S 0.9192 0.6603 0.8469
S35 S 0.9318 0.1737 0.6791
S36 S 0.9938 0.9839 0.3743
```

Main lines, most intense first (2θ = 10–90°):
2theta, Rel. int.
26.35, 100.0
24.88, 61.8
36.31, 54.1
49.93, 53.7
35.74, 43.9
27.44, 33.0

[3]
For Ho2SiGe, a cell relaxed with PBE gives the theoretical XRD peak list in this record (Cu Kα, 1.54184 Å).
Peak positions follow from Bragg's law for the DFT cell and can differ from measured ones.

Structure:
```
data_Ho2SiGe
_symmetry_space_group_name_H-M 'P 1'
_symmetry_Int_Tables_number 1
_symmetry_space_group_name_Hall 'P 1'
_cell_length_a 3.8810
_cell_length_b 5.7073
_cell_length_c 5.7073
_cell_angle_alpha 43.94
_cell_angle_beta 90.00
_cell_angle_gamma 90.00
loop_
_atom_site_label
_atom_site_type_symbol
_atom_site_fract_x
_atom_site_fract_y
_atom_site_fract_z
Ho1 Ho 0.0000 0.0000 0.0000
Ho2 Ho 0.5000 0.2788 0.2788
Si1 Si 0.5000 0.5571 0.5571
Ge1 Ge 0.0000 0.7199 0.7199
```

Main lines, most intense first (2θ = 10–90°):
2theta, Rel. int.
32.30, 100.0
32.93, 43.8
40.50, 40.7
28.52, 40.2
33.87, 29.9
42.33, 23.8